Computed powder diffraction line list of ZrZn14Ag for Cu Kα, 1.54184 Å, from a cell relaxed with GGA-PBE.
Lines closer than 0.1° are merged.

Atomic structure:
```
ZrZn14Ag
1.0
8.644 0.000 0.000
0.000 3.178 4.655
0.000 -3.178 4.655
Zr Zn Ag
1 14 1
direct
0.000 0.000 0.000
0.000 0.074 0.484
0.000 0.484 0.074
0.244 0.757 0.757
0.257 0.196 0.196
0.257 0.260 0.691
0.257 0.691 0.260
0.500 0.019 0.019
0.500 0.089 0.514
0.500 0.514 0.089
0.500 0.587 0.587
0.743 0.196 0.196
0.743 0.260 0.691
0.743 0.691 0.260
0.756 0.757 0.757
0.000 0.560 0.560
```

Principal peaks in the range 10° ≤ 2θ ≤ 90°, by angle:
2θ = 34.16°, d 2.625, intensity 15; 2θ = 38.42°, d 2.343, intensity 25; 2θ = 38.69°, d 2.327, intensity 13; 2θ = 40.20°, d 2.244, intensity 100; 2θ = 41.80°, d 2.161, intensity 32; 2θ = 44.20°, d 2.049, intensity 20; 2θ = 58.04°, d 1.589, intensity 7; 2θ = 74.06°, d 1.280, intensity 10; 2θ = 75.24°, d 1.263, intensity 14; 2θ = 82.08°, d 1.174, intensity 8

=====

Computed powder diffraction line list of ZrZn10Ag for Cu Kα, 1.54184 Å, from a cell relaxed with GGA-PBE.
Lines closer than 0.1° are merged.

Atomic structure:
```
ZrZn10Ag
1.0
4.244 0.000 0.000
0.000 5.090 0.000
0.000 0.000 8.954
Zr Zn Ag
1 10 1
direct
0.000 0.000 0.000
0.000 0.000 0.339
0.000 0.000 0.661
0.000 0.500 0.180
0.000 0.500 0.820
0.500 0.000 0.500
0.500 0.240 0.237
0.500 0.240 0.763
0.500 0.500 0.000
0.500 0.760 0.237
0.500 0.760 0.763
0.000 0.500 0.500
```

Principal peaks in the range 10° ≤ 2θ ≤ 90°, by angle:
2θ = 29.15°, d 3.063, intensity 28; 2θ = 34.85°, d 2.575, intensity 23; 2θ = 40.78°, d 2.212, intensity 28; 2θ = 41.00°, d 2.201, intensity 100; 2θ = 41.37°, d 2.183, intensity 49; 2θ = 42.60°, d 2.122, intensity 47; 2θ = 46.28°, d 1.962, intensity 24; 2θ = 60.45°, d 1.532, intensity 17; 2θ = 67.19°, d 1.393, intensity 20; 2θ = 88.92°, d 1.101, intensity 18

=====

> Number 1 is which compound?

ZrZn14Ag